For Dy7CCl12, a GGA-PBE-relaxed structure gives the computed X-ray diffraction stick pattern in this record (Cu Kα (λ = 1.5418 Å)).

Principal peaks in the range 10° ≤ 2θ ≤ 80°, by angle:
| (hkl) | d [Å] | I (rel.) |
| --- | --- | --- |
| 1 0 1 | 7.358 | 31 |
| 1 1 0 | 6.911 | 81 |
| 4 -3 1 | 3.128 | 35 |
| 3 1 2 | 2.705 | 100 |
| 2 5 0 | 1.917 | 32 |
| 4 -3 4 | 1.908 | 34 |

Structure:
```
data_Dy7CCl12
_symmetry_space_group_name_H-M 'R -3'
_symmetry_Int_Tables_number 148
_symmetry_space_group_name_Hall '-R 3'
_cell_length_a 13.8212
_cell_length_b 13.8212
_cell_length_c 9.3291
_cell_angle_alpha 90.00
_cell_angle_beta 90.00
_cell_angle_gamma 120.00
loop_
_atom_site_label
_atom_site_type_symbol
_atom_site_fract_x
_atom_site_fract_y
_atom_site_fract_z
Dy1 Dy 0.0000 0.0000 0.0000
Dy2 Dy 0.0432 0.1619 0.3499
C1 C 0.0000 0.0000 0.5000
Cl1 Cl 0.0245 0.5854 0.1632
Cl2 Cl 0.0486 0.1802 0.8368
```